[1]
Theoretical powder diffraction line list
Compound: Np2Ga12Ir
Radiation: Cu Kα X-rays
Structure: the GGA-PBE geometry in Alexandria
Kinematic intensities with the Lorentz-polarization factor, no thermal factor.

a = 6.0442 Å, b = 6.0442 Å, c = 15.6056 Å
α = 90.00°, β = 90.00°, γ = 90.00°
Element x y z (fractional)
Np  0.2500  0.7500  0.2394
Np  0.2500  0.7500  0.7606
Np  0.7500  0.2500  0.2394
Np  0.7500  0.2500  0.7606
Ga  0.0001  0.9999  0.0893
Ga  0.9999  0.0001  0.9107
Ga  0.9999  0.4999  0.0893
Ga  0.0001  0.5001  0.9107
Ga  0.0809  0.5809  0.4299
Ga  0.0809  0.9191  0.5701
Ga  0.2500  0.2500  0.1911
Ga  0.2500  0.2500  0.3452
Ga  0.2500  0.2500  0.6548
Ga  0.2500  0.2500  0.8089
Ga  0.4191  0.5809  0.5701
Ga  0.4191  0.9191  0.4299
Ga  0.5001  0.0001  0.0893
Ga  0.4999  0.9999  0.9107
Ga  0.4999  0.5001  0.0893
Ga  0.5001  0.4999  0.9107
Ga  0.5809  0.0809  0.5701
Ga  0.5809  0.4191  0.4299
Ga  0.7500  0.7500  0.1911
Ga  0.7500  0.7500  0.3452
Ga  0.7500  0.7500  0.6548
Ga  0.7500  0.7500  0.8089
Ga  0.9191  0.0809  0.4299
Ga  0.9191  0.4191  0.5701
Ir  0.2500  0.7500  0.0000
Ir  0.7500  0.2500  0.0000

Largest 10 diffraction maxima, by angle, 2θ from 10° to 90°:
d = 4.274 Å, 20.8 deg, I = 46; d = 3.022 Å, 29.6 deg, I = 27; d = 2.881 Å, 31.0 deg, I = 100; d = 2.818 Å, 31.8 deg, I = 80; d = 2.389 Å, 37.6 deg, I = 67; d = 2.222 Å, 40.6 deg, I = 34; d = 2.171 Å, 41.6 deg, I = 37; d = 2.137 Å, 42.3 deg, I = 74; d = 1.716 Å, 53.4 deg, I = 50; d = 1.365 Å, 68.8 deg, I = 29

***

[2]
Theoretical powder diffraction line list
Compound: NpGa5Ir3
Radiation: Cu Kα X-rays
Structure: the GGA-PBE geometry in Alexandria
Kinematic intensities with the Lorentz-polarization factor, no thermal factor.

a = 6.9653 Å, b = 6.9653 Å, c = 8.1810 Å
α = 104.11°, β = 104.11°, γ = 65.89°
Element x y z (fractional)
Np  0.1404  0.1404  0.3130
Np  0.8596  0.8596  0.6870
Ga  0.0495  0.6352  0.3112
Ga  0.2126  0.2126  0.9921
Ga  0.3213  0.6787  0.0000
Ga  0.3648  0.9505  0.6888
Ga  0.3974  0.3974  0.5309
Ga  0.6026  0.6026  0.4691
Ga  0.6352  0.0495  0.3112
Ga  0.6787  0.3213  0.0000
Ga  0.7874  0.7874  0.0079
Ga  0.9505  0.3648  0.6888
Ir  0.0000  0.0000  0.0000
Ir  0.0000  0.0000  0.5000
Ir  0.3348  0.3348  0.7897
Ir  0.4101  0.4101  0.2178
Ir  0.5899  0.5899  0.7822
Ir  0.6652  0.6652  0.2103

Largest 10 diffraction maxima, by angle, 2θ from 10° to 90°:
d = 3.788 Å, 23.5 deg, I = 100; d = 3.415 Å, 26.1 deg, I = 24; d = 3.101 Å, 28.8 deg, I = 27; d = 2.760 Å, 32.4 deg, I = 32; d = 2.672 Å, 33.5 deg, I = 22; d = 2.380 Å, 37.8 deg, I = 47; d = 2.150 Å, 42.0 deg, I = 21; d = 2.027 Å, 44.7 deg, I = 23; d = 2.015 Å, 45.0 deg, I = 21; d = 1.894 Å, 48.0 deg, I = 25

***

[3]
Theoretical powder diffraction line list
Compound: NpGa4Ir2
Radiation: Cu Kα X-rays
Structure: the GGA-PBE geometry in Alexandria
Kinematic intensities with the Lorentz-polarization factor, no thermal factor.

a = 7.3579 Å, b = 7.3579 Å, c = 4.5206 Å
α = 90.00°, β = 90.00°, γ = 90.00°
Element x y z (fractional)
Np  0.0000  0.0000  0.0000
Np  0.5000  0.5000  0.5000
Ga  0.0897  0.3361  0.5000
Ga  0.1639  0.5897  0.0000
Ga  0.3361  0.0897  0.5000
Ga  0.4103  0.8361  0.0000
Ga  0.5897  0.1639  0.0000
Ga  0.6639  0.9103  0.5000
Ga  0.8361  0.4103  0.0000
Ga  0.9103  0.6639  0.5000
Ir  0.2376  0.7624  0.5000
Ir  0.2624  0.2624  0.0000
Ir  0.7376  0.7376  0.0000
Ir  0.7624  0.2376  0.5000

Largest 10 diffraction maxima, by angle, 2θ from 10° to 90°:
d = 3.852 Å, 23.1 deg, I = 24; d = 3.412 Å, 26.1 deg, I = 45; d = 2.660 Å, 33.7 deg, I = 100; d = 2.601 Å, 34.5 deg, I = 56; d = 2.327 Å, 38.7 deg, I = 36; d = 2.260 Å, 39.9 deg, I = 52; d = 2.069 Å, 43.8 deg, I = 100; d = 1.706 Å, 53.7 deg, I = 32; d = 1.621 Å, 56.8 deg, I = 34; d = 1.400 Å, 66.8 deg, I = 31

***

[4]
Theoretical powder diffraction line list
Compound: Ga2IrO6
Radiation: Cu Kα X-rays
Structure: the GGA-PBE geometry in Alexandria
Kinematic intensities with the Lorentz-polarization factor, no thermal factor.

a = 4.6021 Å, b = 5.2175 Å, c = 8.4278 Å
α = 90.00°, β = 90.00°, γ = 90.00°
Element x y z (fractional)
Ga  0.0000  0.0000  0.1900
Ga  0.0000  0.0000  0.8100
Ga  0.5000  0.5000  0.3100
Ga  0.5000  0.5000  0.6900
Ir  0.0000  0.5000  0.0000
Ir  0.5000  0.0000  0.5000
O  0.2004  0.1685  0.0000
O  0.2291  0.6650  0.1641
O  0.2291  0.6650  0.8359
O  0.2709  0.1650  0.3359
O  0.2709  0.1650  0.6641
O  0.2996  0.6685  0.5000
O  0.7004  0.3315  0.5000
O  0.7291  0.8350  0.3359
O  0.7291  0.8350  0.6641
O  0.7709  0.3350  0.1641
O  0.7709  0.3350  0.8359
O  0.7996  0.8315  0.0000

Largest 10 diffraction maxima, by angle, 2θ from 10° to 90°:
d = 4.436 Å, 20.0 deg, I = 34; d = 4.039 Å, 22.0 deg, I = 100; d = 2.670 Å, 33.6 deg, I = 86; d = 2.609 Å, 34.4 deg, I = 20; d = 2.474 Å, 36.3 deg, I = 31; d = 2.191 Å, 41.2 deg, I = 33; d = 1.726 Å, 53.1 deg, I = 20; d = 1.685 Å, 54.5 deg, I = 34; d = 1.518 Å, 61.1 deg, I = 17; d = 1.479 Å, 62.8 deg, I = 13

***

[5]
Theoretical powder diffraction line list
Compound: GaIr2O6
Radiation: Cu Kα X-rays
Structure: the GGA-PBE geometry in Alexandria
Kinematic intensities with the Lorentz-polarization factor, no thermal factor.

a = 8.7599 Å, b = 8.7599 Å, c = 4.2878 Å
α = 90.00°, β = 90.00°, γ = 120.00°
Element x y z (fractional)
Ga  0.0000  0.0000  0.0000
Ga  0.3333  0.6667  0.5052
Ga  0.6667  0.3333  0.4948
Ir  0.0000  0.3199  0.5000
Ir  0.0000  0.6543  0.0000
Ir  0.3199  0.0000  0.5000
Ir  0.3457  0.3457  0.0000
Ir  0.6543  0.0000  0.0000
Ir  0.6801  0.6801  0.5000
O  0.1039  0.8825  0.7650
O  0.1132  0.5422  0.7469
O  0.1175  0.2214  0.7650
O  0.2159  0.7701  0.2645
O  0.2214  0.1175  0.2350
O  0.2299  0.4458  0.2645
O  0.4291  0.8868  0.7469
O  0.4458  0.2299  0.7355
O  0.4578  0.5709  0.7469
O  0.5422  0.1132  0.2531
O  0.5542  0.7841  0.2645
O  0.5709  0.4578  0.2531
O  0.7701  0.2159  0.7355
O  0.7786  0.8961  0.7650
O  0.7841  0.5542  0.7355
O  0.8825  0.1039  0.2350
O  0.8868  0.4291  0.2531
O  0.8961  0.7786  0.2350

Largest 10 diffraction maxima, by angle, 2θ from 10° to 90°:
d = 4.380 Å, 20.3 deg, I = 14; d = 3.064 Å, 29.1 deg, I = 100; d = 2.529 Å, 35.5 deg, I = 44; d = 2.144 Å, 42.2 deg, I = 8; d = 1.950 Å, 46.6 deg, I = 27; d = 1.635 Å, 56.3 deg, I = 35; d = 1.544 Å, 59.9 deg, I = 25; d = 1.460 Å, 63.7 deg, I = 13; d = 1.359 Å, 69.1 deg, I = 9; d = 1.169 Å, 82.5 deg, I = 9

***

[6]
Theoretical powder diffraction line list
Compound: GaIrRuO6
Radiation: Cu Kα X-rays
Structure: the GGA-PBE geometry in Alexandria
Kinematic intensities with the Lorentz-polarization factor, no thermal factor.

a = 5.0715 Å, b = 5.0715 Å, c = 8.4703 Å
α = 90.00°, β = 90.00°, γ = 120.00°
Element x y z (fractional)
Ga  0.3333  0.6667  0.2500
Ga  0.6667  0.3333  0.7500
Ir  0.3333  0.6667  0.7500
Ir  0.6667  0.3333  0.2500
Ru  0.0000  0.0000  0.0000
Ru  0.0000  0.0000  0.5000
O  0.0013  0.3351  0.1259
O  0.0013  0.6662  0.3741
O  0.3338  0.3351  0.3741
O  0.3338  0.9987  0.1259
O  0.3351  0.0013  0.6259
O  0.3351  0.3338  0.8741
O  0.6649  0.6662  0.1259
O  0.6649  0.9987  0.3741
O  0.6662  0.0013  0.8741
O  0.6662  0.6649  0.6259
O  0.9987  0.3338  0.6259
O  0.9987  0.6649  0.8741

Largest 10 diffraction maxima, by angle, 2θ from 10° to 90°:
d = 4.235 Å, 21.0 deg, I = 17; d = 3.899 Å, 22.8 deg, I = 33; d = 3.049 Å, 29.3 deg, I = 100; d = 2.536 Å, 35.4 deg, I = 55; d = 2.176 Å, 41.5 deg, I = 23; d = 1.950 Å, 46.6 deg, I = 28; d = 1.625 Å, 56.6 deg, I = 47; d = 1.546 Å, 59.8 deg, I = 26; d = 1.464 Å, 63.5 deg, I = 19; d = 1.171 Å, 82.4 deg, I = 10

***

[7]
Theoretical powder diffraction line list
Compound: GaSbIrO6
Radiation: Cu Kα X-rays
Structure: the GGA-PBE geometry in Alexandria
Kinematic intensities with the Lorentz-polarization factor, no thermal factor.

a = 5.1080 Å, b = 5.1080 Å, c = 8.7988 Å
α = 90.00°, β = 90.00°, γ = 120.00°
Element x y z (fractional)
Ga  0.3333  0.6667  0.2500
Ga  0.6667  0.3333  0.7500
Sb  0.0000  0.0000  0.0000
Sb  0.0000  0.0000  0.5000
Ir  0.3333  0.6667  0.7500
Ir  0.6667  0.3333  0.2500
O  0.0027  0.3427  0.1270
O  0.0027  0.6600  0.3730
O  0.3400  0.3427  0.3730
O  0.3400  0.9973  0.1270
O  0.3427  0.0027  0.6270
O  0.3427  0.3400  0.8730
O  0.6573  0.6600  0.1270
O  0.6573  0.9973  0.3730
O  0.6600  0.0027  0.8730
O  0.6600  0.6573  0.6270
O  0.9973  0.3400  0.6270
O  0.9973  0.6573  0.8730

Largest 10 diffraction maxima, by angle, 2θ from 10° to 90°:
d = 4.399 Å, 20.2 deg, I = 12; d = 3.952 Å, 22.5 deg, I = 27; d = 3.119 Å, 28.6 deg, I = 100; d = 2.554 Å, 35.1 deg, I = 51; d = 2.209 Å, 40.9 deg, I = 16; d = 1.976 Å, 45.9 deg, I = 27; d = 1.667 Å, 55.1 deg, I = 45; d = 1.563 Å, 59.1 deg, I = 26; d = 1.475 Å, 63.0 deg, I = 18; d = 1.104 Å, 88.5 deg, I = 12

***

[8]
Theoretical powder diffraction line list
Compound: ThGa3IrOs
Radiation: Cu Kα X-rays
Structure: the GGA-PBE geometry in Alexandria
Kinematic intensities with the Lorentz-polarization factor, no thermal factor.

a = 6.6114 Å, b = 6.6114 Å, c = 5.9882 Å
α = 90.00°, β = 90.00°, γ = 104.66°
Element x y z (fractional)
Th  0.2425  0.7575  0.7500
Th  0.7575  0.2425  0.2500
Ga  0.2493  0.2493  0.0000
Ga  0.2493  0.2493  0.5000
Ga  0.2544  0.7456  0.2500
Ga  0.7456  0.2544  0.7500
Ga  0.7507  0.7507  0.0000
Ga  0.7507  0.7507  0.5000
Ir  0.4874  0.5126  0.2500
Ir  0.5126  0.4874  0.7500
Os  0.0229  0.9771  0.2500
Os  0.9771  0.0229  0.7500

Largest 10 diffraction maxima, by angle, 2θ from 10° to 90°:
d = 5.233 Å, 16.9 deg, I = 25; d = 4.040 Å, 22.0 deg, I = 78; d = 2.994 Å, 29.8 deg, I = 37; d = 2.824 Å, 31.7 deg, I = 34; d = 2.617 Å, 34.3 deg, I = 57; d = 2.406 Å, 37.4 deg, I = 100; d = 2.196 Å, 41.1 deg, I = 27; d = 2.020 Å, 44.9 deg, I = 30; d = 1.771 Å, 51.6 deg, I = 71; d = 1.599 Å, 57.6 deg, I = 27

***

[9]
Theoretical powder diffraction line list
Compound: SmGaPIr2
Radiation: Cu Kα X-rays
Structure: the GGA-PBE geometry in Alexandria
Kinematic intensities with the Lorentz-polarization factor, no thermal factor.

a = 6.4157 Å, b = 6.4157 Å, c = 7.3770 Å
α = 90.00°, β = 90.00°, γ = 141.82°
Element x y z (fractional)
Sm  0.0766  0.9234  0.7500
Sm  0.9234  0.0766  0.2500
Ga  0.2187  0.7813  0.2500
Ga  0.7813  0.2187  0.7500
P  0.5000  0.5000  0.0000
P  0.5000  0.5000  0.5000
Ir  0.3241  0.6759  0.5536
Ir  0.3241  0.6759  0.9464
Ir  0.6759  0.3241  0.0536
Ir  0.6759  0.3241  0.4464

Largest 10 diffraction maxima, by angle, 2θ from 10° to 90°:
d = 6.063 Å, 14.6 deg, I = 40; d = 2.911 Å, 30.7 deg, I = 47; d = 2.804 Å, 31.9 deg, I = 41; d = 2.703 Å, 33.1 deg, I = 100; d = 2.285 Å, 39.4 deg, I = 38; d = 2.279 Å, 39.5 deg, I = 29; d = 2.099 Å, 43.1 deg, I = 60; d = 2.090 Å, 43.3 deg, I = 30; d = 1.772 Å, 51.6 deg, I = 25; d = 1.354 Å, 69.4 deg, I = 21

***

[10]
Theoretical powder diffraction line list
Compound: PaGaIr2
Radiation: Cu Kα X-rays
Structure: the GGA-PBE geometry in Alexandria
Kinematic intensities with the Lorentz-polarization factor, no thermal factor.

a = 4.3580 Å, b = 5.9032 Å, c = 5.7360 Å
α = 90.00°, β = 90.00°, γ = 90.00°
Element x y z (fractional)
Pa  0.2500  0.2500  0.1240
Pa  0.7500  0.7500  0.8760
Ga  0.2500  0.7500  0.3162
Ga  0.7500  0.2500  0.6838
Ir  0.2500  0.0064  0.6850
Ir  0.2500  0.4936  0.6850
Ir  0.7500  0.5064  0.3150
Ir  0.7500  0.9936  0.3150

Largest 10 diffraction maxima, by angle, 2θ from 10° to 90°:
d = 3.506 Å, 25.4 deg, I = 14; d = 2.991 Å, 29.9 deg, I = 23; d = 2.868 Å, 31.2 deg, I = 14; d = 2.624 Å, 34.2 deg, I = 19; d = 2.580 Å, 34.8 deg, I = 19; d = 2.396 Å, 37.5 deg, I = 37; d = 2.248 Å, 40.1 deg, I = 100; d = 2.179 Å, 41.4 deg, I = 32; d = 1.677 Å, 54.7 deg, I = 16; d = 1.271 Å, 74.7 deg, I = 16

***

[11]
Theoretical powder diffraction line list
Compound: Pa3Ga9Ir2
Radiation: Cu Kα X-rays
Structure: the GGA-PBE geometry in Alexandria
Kinematic intensities with the Lorentz-polarization factor, no thermal factor.

a = 8.1122 Å, b = 8.1122 Å, c = 8.1122 Å
α = 149.14°, β = 104.02°, γ = 84.22°
Element x y z (fractional)
Pa  0.0000  0.0000  0.0000
Pa  0.3296  0.3296  0.0000
Pa  0.6704  0.6704  0.0000
Ga  0.0410  0.6662  0.3748
Ga  0.1456  0.8713  0.2743
Ga  0.2914  0.6662  0.6252
Ga  0.4030  0.1287  0.2743
Ga  0.5000  0.0000  0.5000
Ga  0.5970  0.8713  0.7257
Ga  0.7086  0.3338  0.3748
Ga  0.8544  0.1287  0.7257
Ga  0.9590  0.3338  0.6252
Ir  0.2899  0.5000  0.7899
Ir  0.7101  0.5000  0.2101

Largest 10 diffraction maxima, by angle, 2θ from 10° to 90°:
d = 3.962 Å, 22.4 deg, I = 18; d = 2.636 Å, 34.0 deg, I = 16; d = 2.562 Å, 35.0 deg, I = 29; d = 2.533 Å, 35.4 deg, I = 100; d = 2.158 Å, 41.9 deg, I = 28; d = 2.006 Å, 45.2 deg, I = 16; d = 1.651 Å, 55.7 deg, I = 16; d = 1.469 Å, 63.3 deg, I = 12; d = 1.345 Å, 70.0 deg, I = 13; d = 1.307 Å, 72.3 deg, I = 14

***

Number 8 is which compound? ThGa3IrOs